# 1
Diffraction record for Rb2NaCuI6. The X-ray powder pattern is simulated, not measured: it uses the GGA-PBE geometry in Alexandria and Cu Kα (λ = 1.5418 Å).
Lines closer than 0.1° are merged.

```
data_Rb2NaCuI6
_symmetry_space_group_name_H-M 'I 4/m m m'
_symmetry_Int_Tables_number 139
_symmetry_space_group_name_Hall '-I 4 2'
_cell_length_a 8.306
_cell_length_b 8.306
_cell_length_c 11.757
_cell_angle_alpha 90.00
_cell_angle_beta 90.00
_cell_angle_gamma 90.00
loop_
_atom_site_label
_atom_site_type_symbol
_atom_site_fract_x
_atom_site_fract_y
_atom_site_fract_z
Rb1 Rb 0.000 0.500 0.250
Na1 Na 0.000 0.000 0.000
Cu1 Cu 0.000 0.000 0.500
I1 I 0.000 0.000 0.265
I2 I 0.236 0.236 0.500
```

Top 10 peaks for 2θ = 15–90°, in order of falling intensity:
(2 0 2), 26.27 deg, rel. 100
(2 2 0), 30.43 deg, rel. 77
(4 0 0), 43.57 deg, rel. 54
(4 2 2), 51.60 deg, rel. 42
(6 2 0), 71.87 deg, rel. 22
(4 0 4), 54.07 deg, rel. 18
(6 2 4), 80.01 deg, rel. 16
(6 0 2), 69.78 deg, rel. 16
(0 0 2), 15.08 deg, rel. 13
(6 4 2), 85.98 deg, rel. 12

# 2
Diffraction record for TlRhAuCl6. The X-ray powder pattern is simulated, not measured: it uses the GGA-PBE geometry in Alexandria and Cu Kα (λ = 1.5418 Å).
Lines closer than 0.1° are merged.

```
data_TlRhAuCl6
_symmetry_space_group_name_H-M 'P 1'
_symmetry_Int_Tables_number 1
_symmetry_space_group_name_Hall 'P 1'
_cell_length_a 6.471
_cell_length_b 6.483
_cell_length_c 6.913
_cell_angle_alpha 92.05
_cell_angle_beta 92.42
_cell_angle_gamma 114.27
loop_
_atom_site_label
_atom_site_type_symbol
_atom_site_fract_x
_atom_site_fract_y
_atom_site_fract_z
Tl1 Tl 0.000 0.000 0.000
Rh1 Rh 0.662 0.337 0.498
Au1 Au 0.324 0.677 0.499
Cl1 Cl 0.377 0.380 0.291
Cl2 Cl 0.379 0.048 0.658
Cl3 Cl 0.623 0.621 0.707
Cl4 Cl 0.673 0.061 0.277
Cl5 Cl 0.941 0.323 0.716
Cl6 Cl 0.951 0.622 0.339
```

Top 10 peaks for 2θ = 15–90°, in order of falling intensity:
(1 0 -1), 19.21 deg, rel. 100
(-1 1 1), 20.80 deg, rel. 92
(1 0 1), 20.41 deg, rel. 87
(2 -1 0), 27.70 deg, rel. 57
(1 1 0), 25.41 deg, rel. 37
(1 1 -2), 35.17 deg, rel. 34
(-1 2 2), 38.80 deg, rel. 32
(2 -1 2), 38.97 deg, rel. 32
(0 2 -1), 32.31 deg, rel. 29
(0 0 2), 25.84 deg, rel. 22

# 3
Diffraction record for Tb3Dy2Ho8. The X-ray powder pattern is simulated, not measured: it uses the GGA-PBE geometry in Alexandria and Cu Kα (λ = 1.5418 Å).
Lines closer than 0.1° are merged.

```
data_Tb3Dy2Ho8
_symmetry_space_group_name_H-M 'P -1'
_symmetry_Int_Tables_number 2
_symmetry_space_group_name_Hall '-P 1'
_cell_length_a 6.107
_cell_length_b 7.879
_cell_length_c 9.332
_cell_angle_alpha 75.28
_cell_angle_beta 70.98
_cell_angle_gamma 75.05
loop_
_atom_site_label
_atom_site_type_symbol
_atom_site_fract_x
_atom_site_fract_y
_atom_site_fract_z
Tb1 Tb 0.000 0.000 0.000
Tb2 Tb 0.462 0.231 0.923
Dy1 Dy 0.231 0.615 0.462
Ho1 Ho 0.076 0.538 0.154
Ho2 Ho 0.154 0.077 0.308
Ho3 Ho 0.307 0.154 0.615
Ho4 Ho 0.385 0.692 0.769
```

Top 10 peaks for 2θ = 15–90°, in order of falling intensity:
(2 1 2), 31.06 deg, rel. 100
(1 3 2), 36.02 deg, rel. 51
(3 3 1), 51.86 deg, rel. 36
(4 1 1), 61.66 deg, rel. 21
(3 4 4), 61.73 deg, rel. 21
(4 2 4), 64.76 deg, rel. 12
(5 4 3), 84.78 deg, rel. 10
(5 3 0), 87.42 deg, rel. 8
(4 6 3), 87.53 deg, rel. 8
(2 3 8), 84.67 deg, rel. 7

# 4
Diffraction record for TeSBr3. The X-ray powder pattern is simulated, not measured: it uses the GGA-PBE geometry in Alexandria and Cu Kα (λ = 1.5418 Å).
Lines closer than 0.1° are merged.

```
data_TeSBr3
_symmetry_space_group_name_H-M 'C 1 2 1'
_symmetry_Int_Tables_number 5
_symmetry_space_group_name_Hall 'C 2y'
_cell_length_a 12.925
_cell_length_b 8.905
_cell_length_c 6.139
_cell_angle_alpha 90.00
_cell_angle_beta 100.52
_cell_angle_gamma 90.00
loop_
_atom_site_label
_atom_site_type_symbol
_atom_site_fract_x
_atom_site_fract_y
_atom_site_fract_z
Te1 Te 0.221 0.000 0.428
S1 S 0.065 0.005 0.623
Br1 Br 0.112 0.496 0.814
Br2 Br 0.147 0.778 0.184
Br3 Br 0.150 0.220 0.177
```

Top 10 peaks for 2θ = 15–90°, in order of falling intensity:
(2 2 1), 29.93 deg, rel. 100
(1 1 1), 20.05 deg, rel. 83
(4 0 -1), 29.28 deg, rel. 60
(2 2 -2), 36.61 deg, rel. 49
(0 2 1), 24.85 deg, rel. 46
(2 0 -1), 18.33 deg, rel. 33
(0 4 0), 40.52 deg, rel. 28
(4 2 0), 34.69 deg, rel. 23
(3 1 2), 41.03 deg, rel. 21
(4 4 -1), 50.77 deg, rel. 20